(1)
Computed powder X-ray diffraction pattern
Compound: Mn4GaFe
Radiation: CuKα
Structure: DFT lattice parameters and positions (PBE)
No peak broadening, texture or thermal motion is included.

Cell and atoms:
Unit cell a=4.435 b=4.435 c=5.128 alpha=107.35 beta=107.35 gamma=48.25
Positions (direct):
Mn: 0.160 0.160 0.320
Mn: 0.173 0.173 0.842
Mn: 0.827 0.827 0.158
Mn: 0.840 0.840 0.680
Ga: 0.500 0.500 0.500
Fe: 0.500 0.500 0.000

Most intense lines, 2θ from 5° to 70°, low angle first:
| Position (°2θ) | intensity |
| --- | --- |
| 27.2 | 1 |
| 30.7 | 1 |
| 34.3 | 1 |
| 43.2 | 100 |
| 43.4 | 99 |
| 50.2 | 31 |
| 50.3 | 31 |
| 50.8 | 29 |


(2)
Computed powder X-ray diffraction pattern
Compound: PaRu2O6
Radiation: CuKα
Structure: DFT lattice parameters and positions (PBE)
No peak broadening, texture or thermal motion is included.

Cell and atoms:
Unit cell a=9.069 b=9.069 c=4.606 alpha=90.00 beta=90.00 gamma=120.00
Positions (direct):
Pa: 0.000 0.000 0.000
Pa: 0.333 0.667 0.502
Pa: 0.667 0.333 0.498
Ru: 0.000 0.341 0.000
Ru: 0.000 0.674 0.500
Ru: 0.326 0.326 0.500
Ru: 0.341 0.000 0.000
Ru: 0.659 0.659 0.000
Ru: 0.674 0.000 0.500
O: 0.098 0.554 0.250
O: 0.115 0.236 0.248
O: 0.121 0.885 0.248
O: 0.212 0.432 0.752
O: 0.220 0.788 0.752
O: 0.236 0.115 0.752
O: 0.432 0.212 0.248
O: 0.446 0.544 0.250
O: 0.456 0.902 0.250
O: 0.544 0.446 0.750
O: 0.554 0.098 0.750
O: 0.568 0.780 0.752
O: 0.764 0.879 0.248
O: 0.780 0.568 0.248
O: 0.788 0.220 0.248
O: 0.879 0.764 0.752
O: 0.885 0.121 0.752
O: 0.902 0.456 0.750

Most intense lines, 2θ from 5° to 70°, low angle first:
| Position (°2θ) | intensity |
| --- | --- |
| 19.6 | 34 |
| 22.4 | 83 |
| 27.6 | 92 |
| 29.9 | 51 |
| 34.3 | 100 |
| 36.0 | 57 |
| 53.0 | 89 |
| 61.3 | 32 |


(3)
Computed powder X-ray diffraction pattern
Compound: HoHfSb3
Radiation: CuKα
Structure: DFT lattice parameters and positions (PBE)
No peak broadening, texture or thermal motion is included.

Cell and atoms:
Unit cell a=13.089 b=6.348 c=6.320 alpha=90.00 beta=90.00 gamma=90.00
Positions (direct):
Ho: 0.179 0.013 0.250
Ho: 0.179 0.487 0.750
Ho: 0.821 0.513 0.250
Ho: 0.821 0.987 0.750
Hf: 0.406 0.750 0.000
Hf: 0.406 0.750 0.500
Hf: 0.594 0.250 0.000
Hf: 0.594 0.250 0.500
Sb: 0.004 0.750 0.000
Sb: 0.004 0.750 0.500
Sb: 0.256 0.506 0.250
Sb: 0.256 0.994 0.750
Sb: 0.417 0.126 0.250
Sb: 0.417 0.374 0.750
Sb: 0.583 0.626 0.250
Sb: 0.583 0.874 0.750
Sb: 0.744 0.006 0.250
Sb: 0.744 0.494 0.750
Sb: 0.996 0.250 0.000
Sb: 0.996 0.250 0.500

Most intense lines, 2θ from 5° to 70°, low angle first:
| Position (°2θ) | intensity |
| --- | --- |
| 28.6 | 43 |
| 31.3 | 100 |
| 31.4 | 72 |
| 33.9 | 60 |
| 34.3 | 59 |
| 34.5 | 46 |
| 37.9 | 52 |
| 40.3 | 100 |